Record 1
Starting from a cell relaxed with PBE, the powder diffractogram of Li6BPt10 was simulated for Cu Kα (weighted mean of Kα1 and Kα2).

Structural model:
a = 7.087 Å, b = 7.087 Å, c = 5.222 Å
α = 90.00°, β = 90.00°, γ = 120.00°
Fractional coordinates of all 17 atoms:
1 Li 0.000 0.401 0.261
2 Li 0.000 0.599 0.739
3 Li 0.401 0.000 0.261
4 Li 0.401 0.401 0.739
5 Li 0.599 0.000 0.739
6 Li 0.599 0.599 0.261
7 B 0.000 0.000 0.500
8 Pt 0.000 0.238 0.764
9 Pt 0.000 0.762 0.236
10 Pt 0.238 0.000 0.764
11 Pt 0.238 0.238 0.236
12 Pt 0.333 0.667 0.000
13 Pt 0.333 0.667 0.500
14 Pt 0.667 0.333 0.000
15 Pt 0.667 0.333 0.500
16 Pt 0.762 0.000 0.236
17 Pt 0.762 0.762 0.764

Main lines, low angle first (2θ from 10° to 80°):
two_theta  I/Imax
25.1  29
29.1  54
30.5  84
37.4  68
38.8  63
42.6  100
43.0  88
44.3  33
63.5  31
67.2  25
70.3  29
71.3  35

Record 2
Starting from a cell relaxed with PBE, the powder diffractogram of Zn4IrPt was simulated for Cu Kα (weighted mean of Kα1 and Kα2).

Structural model:
a = 2.878 Å, b = 4.499 Å, c = 7.147 Å
α = 90.00°, β = 90.00°, γ = 90.00°
Fractional coordinates of all 6 atoms:
1 Zn 0.000 0.000 0.185
2 Zn 0.000 0.000 0.815
3 Zn 0.500 0.500 0.307
4 Zn 0.500 0.500 0.693
5 Ir 0.000 0.500 0.000
6 Pt 0.500 0.000 0.500

Main lines, low angle first (2θ from 10° to 80°):
two_theta  I/Imax
23.4  61
24.9  10
33.6  79
40.1  45
43.0  69
45.2  100
53.3  43
64.8  25
74.1  14
74.8  13
76.4  21
79.0  12

Record 3
Starting from a cell relaxed with PBE, the powder diffractogram of Ac2Tb6Sm was simulated for Cu Kα (weighted mean of Kα1 and Kα2).

Structural model:
a = 9.151 Å, b = 9.151 Å, c = 6.731 Å
α = 109.73°, β = 109.73°, γ = 36.94°
Fractional coordinates of all 9 atoms:
1 Ac 0.116 0.116 0.076
2 Ac 0.884 0.884 0.924
3 Tb 0.248 0.248 0.642
4 Tb 0.332 0.332 0.220
5 Tb 0.468 0.468 0.730
6 Tb 0.532 0.532 0.270
7 Tb 0.668 0.668 0.780
8 Tb 0.752 0.752 0.358
9 Sm 0.000 0.000 0.500

Main lines, low angle first (2θ from 10° to 80°):
two_theta  I/Imax
29.6  14
30.2  46
30.3  97
30.8  57
31.1  100
31.6  15
43.7  34
44.3  14
53.2  10
54.6  32
55.0  36
64.8  9

Record 4
Starting from a cell relaxed with PBE, the powder diffractogram of Pm4Dy8Mg was simulated for Cu Kα (weighted mean of Kα1 and Kα2).

Structural model:
a = 10.211 Å, b = 10.211 Å, c = 10.211 Å
α = 41.75°, β = 41.75°, γ = 41.75°
Fractional coordinates of all 13 atoms:
1 Pm 0.000 0.000 0.000
2 Pm 0.000 0.500 0.500
3 Pm 0.500 0.000 0.500
4 Pm 0.500 0.500 0.000
5 Dy 0.208 0.746 0.746
6 Dy 0.213 0.213 0.213
7 Dy 0.254 0.254 0.792
8 Dy 0.254 0.792 0.254
9 Dy 0.746 0.208 0.746
10 Dy 0.746 0.746 0.208
11 Dy 0.787 0.787 0.787
12 Dy 0.792 0.254 0.254
13 Mg 0.500 0.500 0.500

Main lines, low angle first (2θ from 10° to 80°):
two_theta  I/Imax
28.5  24
28.8  38
29.1  14
31.1  100
32.6  54
38.5  26
50.1  31
51.5  20
58.8  28
60.2  14
61.1  9
63.9  7